(1)
The following is a simulated PXRD pattern of Li8CuN3. It was derived from the GGA-PBE geometry in Alexandria, using Cu Kα, 1.54184 Å.

Peak list (12 most intense, 10° ≤ 2θ ≤ 90°, low angle first)
- 7.291 Å, 12.1 deg, rel. 85
- 4.894 Å, 18.1 deg, rel. 38
- 4.385 Å, 20.3 deg, rel. 27
- 3.645 Å, 24.4 deg, rel. 17
- 3.428 Å, 26.0 deg, rel. 29
- 3.167 Å, 28.2 deg, rel. 100
- 3.040 Å, 29.4 deg, rel. 20
- 2.567 Å, 35.0 deg, rel. 13
- 2.434 Å, 36.9 deg, rel. 25
- 1.828 Å, 49.9 deg, rel. 36
- 1.630 Å, 56.4 deg, rel. 24
- 1.319 Å, 71.5 deg, rel. 14

Structure:
```
12
Lattice="4.952 -1.830 0.000 4.952 1.830 0.000 -1.126 0.000 7.291" Properties=species:S:1:pos:R:3 pbc="T T T"
Li -0.107 0.000 2.686
Li 1.928 0.000 7.128
Li 2.848 0.000 2.466
Li 3.013 0.000 5.241
Li 5.765 0.000 2.050
Li 5.930 0.000 4.824
Li 6.850 0.000 0.163
Li 8.885 0.000 4.604
Cu 0.000 0.000 0.000
N 1.431 0.000 1.201
N 4.389 0.000 3.645
N 7.347 0.000 6.090
```

(2)
The following is a simulated PXRD pattern of LiCu2PN. It was derived from the GGA-PBE geometry in Alexandria, using Cu Kα, 1.54184 Å.

Peak list (12 most intense, 10° ≤ 2θ ≤ 90°, low angle first)
- 4.644 Å, 19.1 deg, rel. 81
- 3.752 Å, 23.7 deg, rel. 13
- 2.653 Å, 33.8 deg, rel. 23
- 2.322 Å, 38.8 deg, rel. 35
- 2.304 Å, 39.1 deg, rel. 100
- 1.876 Å, 48.5 deg, rel. 35
- 1.747 Å, 52.4 deg, rel. 13
- 1.739 Å, 52.6 deg, rel. 20
- 1.459 Å, 63.8 deg, rel. 28
- 1.337 Å, 70.4 deg, rel. 16
- 1.152 Å, 84.0 deg, rel. 12
- 1.150 Å, 84.2 deg, rel. 20

Structure:
```
5
Lattice="3.752 0.000 0.000 0.000 3.752 0.000 0.000 0.000 4.644" Properties=species:S:1:pos:R:3 pbc="T T T"
Li 0.000 0.000 0.000
Cu 0.000 1.876 2.322
Cu 1.876 0.000 2.322
P 1.876 1.876 0.000
N 1.876 1.876 2.322
```

(3)
The following is a simulated PXRD pattern of Li4Nb3Cu3Te2O16. It was derived from the GGA-PBE geometry in Alexandria, using Cu Kα, 1.54184 Å.

Peak list (12 most intense, 10° ≤ 2θ ≤ 90°, low angle first)
- 5.288 Å, 16.8 deg, rel. 68
- 4.979 Å, 17.8 deg, rel. 48
- 4.745 Å, 18.7 deg, rel. 100
- 3.750 Å, 23.7 deg, rel. 43
- 2.931 Å, 30.5 deg, rel. 41
- 2.734 Å, 32.8 deg, rel. 33
- 2.719 Å, 32.9 deg, rel. 47
- 2.710 Å, 33.1 deg, rel. 31
- 2.617 Å, 34.3 deg, rel. 30
- 2.574 Å, 34.9 deg, rel. 62
- 1.657 Å, 55.5 deg, rel. 31
- 1.591 Å, 58.0 deg, rel. 31

Structure:
```
28
Lattice="5.620 -3.011 0.000 5.620 3.011 0.000 -0.085 0.000 10.573" Properties=species:S:1:pos:R:3 pbc="T T T"
Li 0.000 0.000 0.000
Li 0.232 0.000 5.640
Li 3.926 0.000 4.033
Li 7.307 0.000 9.859
Nb 2.109 0.000 8.148
Nb 6.772 1.501 2.532
Nb 6.772 -1.501 2.532
Cu 4.754 1.475 7.860
Cu 4.754 -1.475 7.860
Cu 9.575 0.000 2.423
Te 4.100 0.000 0.276
Te 7.823 0.000 5.766
O 2.829 1.524 3.376
O 2.631 1.386 9.292
O 0.112 0.000 8.604
O 0.324 0.000 3.650
O 1.552 0.000 1.293
O 4.928 1.543 1.233
O 3.796 0.000 6.995
O 6.941 1.491 6.616
O 2.631 -1.386 9.292
O 5.304 0.000 9.393
O 2.829 -1.524 3.376
O 5.880 0.000 3.598
O 7.253 0.000 1.298
O 4.928 -1.543 1.233
O 9.585 0.000 6.613
O 6.941 -1.491 6.616
```

(4)
The following is a simulated PXRD pattern of LiTi3NbCu3O12. It was derived from the GGA-PBE geometry in Alexandria, using Cu Kα, 1.54184 Å.

Peak list (12 most intense, 10° ≤ 2θ ≤ 90°, low angle first)
- 5.287 Å, 16.8 deg, rel. 51
- 3.068 Å, 29.1 deg, rel. 19
- 2.665 Å, 33.6 deg, rel. 66
- 2.646 Å, 33.9 deg, rel. 100
- 2.641 Å, 33.9 deg, rel. 34
- 1.879 Å, 48.4 deg, rel. 19
- 1.873 Å, 48.6 deg, rel. 38
- 1.537 Å, 60.2 deg, rel. 16
- 1.533 Å, 60.4 deg, rel. 33
- 1.528 Å, 60.6 deg, rel. 17
- 1.523 Å, 60.8 deg, rel. 25
- 1.185 Å, 81.2 deg, rel. 15

Structure:
```
20
Lattice="6.456 0.000 0.000 -2.150 6.129 0.000 -2.150 -3.029 5.331" Properties=species:S:1:pos:R:3 pbc="T T T"
Li 0.000 0.000 0.000
Ti 1.199 1.360 2.143
Ti 3.188 -0.210 4.776
Ti 3.275 4.388 2.131
Nb -1.054 2.857 4.679
Cu 0.012 -0.245 4.695
Cu 0.023 4.362 2.002
Cu 4.367 1.263 1.997
O -1.564 -0.891 3.712
O -0.504 1.762 0.949
O -2.158 2.957 2.998
O 0.562 -0.642 1.913
O -0.045 4.358 0.033
O 2.079 1.045 0.305
O 0.093 1.454 3.714
O 1.621 3.211 2.068
O 2.239 -1.797 3.974
O 2.759 0.762 3.009
O 4.453 -0.423 0.954
O 3.778 3.398 0.295
```

- Number 4 is which compound?
  LiTi3NbCu3O12